For Ni3AgH3, DFT lattice parameters and positions (PBE) gives the calculated powder diffraction line list in this record (Cu Kα (λ = 1.5418 Å)).
No peak broadening, texture or thermal motion is included.

Structural model:
a b c (Å): 4.9044 4.9044 4.9044
angles (deg): 90.00 90.00 90.00
Space group Pm-3n (No. 223)
One atom of each set of equivalent atoms:
Ni  0.0000  0.2500  0.5000 [6 per cell]
Ag  0.0000  0.0000  0.0000 [2 per cell]
H  0.0000  0.5000  0.2500 [6 per cell]

The 10 most intense peaks (2θ = 10–90°), by angle:
| index | two_theta | I/Imax |
| --- | --- | --- |
| 1 1 0 | 25.7 | 15 |
| 2 0 0 | 36.6 | 47 |
| 2 1 0 | 41.2 | 68 |
| 2 1 1 | 45.3 | 100 |
| 3 1 0 | 59.6 | 3 |
| 2 2 2 | 66.0 | 2 |
| 3 2 0 | 69.0 | 13 |
| 3 2 1 | 72.1 | 46 |
| 4 0 0 | 77.9 | 14 |
| 4 2 0 | 89.3 | 13 |